Structure and theoretical powder X-ray diffraction pattern of Pr8Dy5In (DFT lattice parameters and positions (PBE); CuKα).
Intensities are scaled so that the largest is 100.

Top 8 peaks for 2θ from 10° to 80°, low angle first:
- 2θ = 24.39°, d 3.650, rel. 20
- 2θ = 29.73°, d 3.005, rel. 34
- 2θ = 30.32°, d 2.948, rel. 36
- 2θ = 30.48°, d 2.932, rel. 62
- 2θ = 30.77°, d 2.906, rel. 100
- 2θ = 31.13°, d 2.873, rel. 73
- 2θ = 32.25°, d 2.775, rel. 48
- 2θ = 32.48°, d 2.756, rel. 73

Atomic structure:
```
data_Pr8Dy5In
_chemical_formula_sum 'Pr8 Dy5 In1'
_symmetry_space_group_name_H-M 'P 1'
_symmetry_Int_Tables_number 1
_symmetry_space_group_name_Hall 'P 1'
_cell_length_a 8.929
_cell_length_b 8.929
_cell_length_c 8.556
_cell_angle_alpha 117.47
_cell_angle_beta 117.47
_cell_angle_gamma 56.44
loop_
_atom_site_label
_atom_site_fract_x
_atom_site_fract_y
_atom_site_fract_z
Pr1 0.051 0.587 0.423
Pr2 0.121 0.121 0.185
Pr3 0.228 0.412 0.770
Pr4 0.413 0.949 0.577
Pr5 0.531 0.107 0.083
Pr6 0.588 0.772 0.230
Pr7 0.879 0.879 0.815
Pr8 0.893 0.469 0.917
Dy1 0.260 0.647 0.222
Dy2 0.353 0.740 0.778
Dy3 0.537 0.266 0.547
Dy4 0.734 0.463 0.453
Dy5 0.962 0.038 0.500
In1 0.654 0.346 0.000
```